# 1
Diffraction record for RbZnCdF6. The XRD peak list is calculated, not measured: it uses a structure optimized by DFT (PBE) and λ = 1.5418 Å (Cu Kα).

Atomic structure:
```
RbZnCdF6
1.0
-3.760 3.832 5.050
3.760 -3.832 5.050
3.760 3.832 -5.050
Rb Zn Cd F
2 2 2 12
Cartesian
0.000 1.916 1.501 Rb
3.760 1.916 3.549 Rb
3.760 0.000 0.000 Zn
0.000 0.000 5.050 Zn
1.880 1.916 -2.525 Cd
1.880 -1.916 2.525 Cd
3.760 -1.916 3.644 F
2.374 0.160 1.369 F
5.145 0.160 1.369 F
3.760 1.916 -0.558 F
2.374 3.992 -1.369 F
1.385 0.160 3.681 F
2.374 3.672 1.369 F
1.385 -0.160 6.419 F
0.000 1.916 5.608 F
-1.385 3.672 3.681 F
1.385 3.672 3.681 F
0.000 5.748 1.406 F
```

Top 10 peaks for 2θ = 10–90°, most intense first:
2θ/deg	I/Imax
27.87	100
49.57	81
27.58	80
29.02	71
29.26	65
29.62	57
43.77	37
14.51	35
47.45	32
45.10	30



# 2
Diffraction record for Dy6IrRu2. The XRD peak list is calculated, not measured: it uses a structure optimized by DFT (PBE) and λ = 1.5418 Å (Cu Kα).

Atomic structure:
```
Dy6IrRu2
1.0
0.000 6.579 7.191
2.394 0.000 7.191
2.394 6.579 0.000
Dy Ir Ru
6 1 2
Cartesian
2.394 1.673 7.191 Dy
2.394 4.906 4.785 Dy
2.394 8.252 4.785 Dy
2.394 4.906 9.598 Dy
2.394 8.252 9.598 Dy
2.394 11.485 7.191 Dy
2.394 6.579 7.191 Ir
2.394 6.579 2.401 Ru
2.394 6.579 11.981 Ru
```

Top 10 peaks for 2θ = 10–90°, most intense first:
2θ/deg	I/Imax
33.42	100
37.54	55
43.55	42
65.13	29
13.46	25
27.14	22
54.14	19
71.90	19
69.30	18
81.58	13



> What is the formula in the second record?

Dy6IrRu2



Repeat the first record exactly.
Diffraction record for RbZnCdF6. The XRD peak list is calculated, not measured: it uses a structure optimized by DFT (PBE) and λ = 1.5418 Å (Cu Kα).

Atomic structure:
```
RbZnCdF6
1.0
-3.760 3.832 5.050
3.760 -3.832 5.050
3.760 3.832 -5.050
Rb Zn Cd F
2 2 2 12
Cartesian
0.000 1.916 1.501 Rb
3.760 1.916 3.549 Rb
3.760 0.000 0.000 Zn
0.000 0.000 5.050 Zn
1.880 1.916 -2.525 Cd
1.880 -1.916 2.525 Cd
3.760 -1.916 3.644 F
2.374 0.160 1.369 F
5.145 0.160 1.369 F
3.760 1.916 -0.558 F
2.374 3.992 -1.369 F
1.385 0.160 3.681 F
2.374 3.672 1.369 F
1.385 -0.160 6.419 F
0.000 1.916 5.608 F
-1.385 3.672 3.681 F
1.385 3.672 3.681 F
0.000 5.748 1.406 F
```

Top 10 peaks for 2θ = 10–90°, most intense first:
2θ/deg	I/Imax
27.87	100
49.57	81
27.58	80
29.02	71
29.26	65
29.62	57
43.77	37
14.51	35
47.45	32
45.10	30